No. 1
Simulated powder X-ray diffraction pattern of Ta2Co21B6 for CuKα, from a DFT-relaxed cell (GGA-PBE, the Materials Project).
Intensities are scaled so that the largest is 100.

The 10 most intense peaks (10 to 90 degrees two-theta), in order of rising 2θ:
2θ/deg  I (rel.)
16.89  31
23.98  23
38.35  83
42.17  81
44.87  100
49.09  43
51.50  26
58.31  25
74.54  24
77.09  41

```
Ta2Co21B6
1.0
0.0000 5.2487 5.2487
5.2487 0.0000 5.2487
5.2487 5.2487 0.0000
Ta Co B
2 21 6
Direct
0.2500 0.2500 0.2500
0.7500 0.7500 0.7500
0.0000 0.0000 0.0000
0.0000 0.0000 0.3380
0.0000 0.0000 0.6620
0.0000 0.3380 0.0000
0.0000 0.3380 0.6620
0.0000 0.6620 0.0000
0.0000 0.6620 0.3380
0.1501 0.6166 0.6166
0.3380 0.0000 0.0000
0.3380 0.0000 0.6620
0.3380 0.6620 0.0000
0.3834 0.3834 0.3834
0.3834 0.3834 0.8499
0.3834 0.8499 0.3834
0.6166 0.1501 0.6166
0.6166 0.6166 0.1501
0.6166 0.6166 0.6166
0.6620 0.0000 0.0000
0.6620 0.0000 0.3380
0.6620 0.3380 0.0000
0.8499 0.3834 0.3834
0.2747 0.2747 0.7253
0.2747 0.7253 0.2747
0.2747 0.7253 0.7253
0.7253 0.2747 0.2747
0.7253 0.2747 0.7253
0.7253 0.7253 0.2747
```


No. 2
Simulated powder X-ray diffraction pattern of SrB2 for CuKα, from a DFT-relaxed cell (GGA-PBE, the Materials Project).
Intensities are scaled so that the largest is 100.

The 10 most intense peaks (10 to 90 degrees two-theta), in order of rising 2θ:
2θ/deg  I (rel.)
20.15  41
31.10  57
37.33  100
40.95  15
52.30  27
55.33  18
59.49  15
68.65  16
71.09  17
72.20  14

```
SrB2
1.0
3.3209 0.0000 0.0000
-1.6604 2.8760 0.0000
0.0000 0.0000 4.4077
Sr B
1 2
Direct
0.0000 0.0000 0.0000
0.3333 0.6667 0.5000
0.6667 0.3333 0.5000
```


No. 3
Simulated powder X-ray diffraction pattern of LuPaO4 for CuKα, from a DFT-relaxed cell (GGA-PBE, the Materials Project).
Intensities are scaled so that the largest is 100.

The 10 most intense peaks (10 to 90 degrees two-theta), in order of rising 2θ:
2θ/deg  I (rel.)
28.98  100
33.52  24
33.72  12
48.14  17
48.29  33
57.18  31
57.44  15
60.06  10
77.92  6
78.14  13

```
LuPaO4
1.0
3.7803 0.0000 0.0000
0.0000 3.7803 0.0000
0.0000 0.0000 5.3157
Lu Pa O
1 1 4
Direct
0.0000 0.0000 0.0000
0.5000 0.5000 0.5000
0.0000 0.5000 0.2543
0.0000 0.5000 0.7457
0.5000 0.0000 0.2543
0.5000 0.0000 0.7457
```


No. 4
Simulated powder X-ray diffraction pattern of K3MoCl6 for CuKα, from a DFT-relaxed cell (GGA-PBE, the Materials Project).
Intensities are scaled so that the largest is 100.

The 10 most intense peaks (10 to 90 degrees two-theta), in order of rising 2θ:
2θ/deg  I (rel.)
14.45  100
15.15  19
16.70  53
23.75  32
24.56  43
31.32  40
32.39  23
33.08  22
33.78  62
35.06  24

```
K3MoCl6
1.0
12.8925 0.0000 0.0000
0.0000 7.6619 0.0000
-3.9364 0.0000 11.6978
K Mo Cl
12 4 24
Direct
0.0985 0.0345 0.3590
0.0985 0.4655 0.8590
0.3163 0.5673 0.2652
0.3163 0.9327 0.7652
0.3192 0.0668 0.1121
0.3192 0.4332 0.6121
0.6808 0.5668 0.3879
0.6808 0.9332 0.8879
0.6837 0.0673 0.2348
0.6837 0.4327 0.7348
0.9015 0.5345 0.1410
0.9015 0.9655 0.6410
0.0000 0.0000 0.0000
0.0000 0.5000 0.5000
0.5000 0.0000 0.5000
0.5000 0.5000 0.0000
0.0954 0.2307 0.5946
0.0954 0.2693 0.0946
0.1160 0.5024 0.3761
0.1160 0.9976 0.8761
0.1307 0.6804 0.6459
0.1307 0.8196 0.1459
0.3516 0.6994 0.0055
0.3516 0.8006 0.5055
0.3547 0.2070 0.3958
0.3547 0.2930 0.8958
0.4999 0.1332 0.6833
0.4999 0.3668 0.1833
0.5001 0.6332 0.8167
0.5001 0.8668 0.3167
0.6453 0.7070 0.1042
0.6453 0.7930 0.6042
0.6484 0.1994 0.4945
0.6484 0.3006 0.9945
0.8693 0.1804 0.8541
0.8693 0.3196 0.3541
0.8840 0.0024 0.1239
0.8840 0.4976 0.6239
0.9046 0.7307 0.9054
0.9046 0.7693 0.4054
```


No. 5
Simulated powder X-ray diffraction pattern of Na3As for CuKα, from a DFT-relaxed cell (GGA-PBE, the Materials Project).
Intensities are scaled so that the largest is 100.

The 10 most intense peaks (10 to 90 degrees two-theta), in order of rising 2θ:
2θ/deg  I (rel.)
19.56  37
20.11  28
22.39  61
35.21  100
35.99  99
40.59  34
51.23  35
63.18  17
63.68  35
72.68  21

```
Na3As
1.0
5.0982 0.0000 0.0000
-2.5491 4.4152 0.0000
0.0000 0.0000 9.0762
Na As
6 2
Direct
0.0000 0.0000 0.2500
0.0000 0.0000 0.7500
0.3333 0.6667 0.0799
0.3333 0.6667 0.4201
0.6667 0.3333 0.5799
0.6667 0.3333 0.9201
0.3333 0.6667 0.7500
0.6667 0.3333 0.2500
```